1.
This entry pairs a crystal structure of CeDyNiOs with its computed PXRD pattern. Radiation: Cu Kα X-rays. Structure: the PBE geometry in Alexandria.

Cell and atoms:
```
data_CeDyNiOs
_chemical_formula_sum 'Ce4 Dy4 Ni4 Os4'
_cell_length_a 6.8465
_cell_length_b 6.8465
_cell_length_c 6.8465
_cell_angle_alpha 90.00
_cell_angle_beta 90.00
_cell_angle_gamma 90.00
_symmetry_space_group_name_H-M 'F -4 3 m'
_symmetry_Int_Tables_number 216
_symmetry_space_group_name_Hall 'F -4 2 3'
loop_
_atom_site_label
_atom_site_type_symbol
_atom_site_fract_x
_atom_site_fract_y
_atom_site_fract_z
_atom_site_occupancy
Ce1 Ce 0.0000 0.0000 0.0000 1
Dy1 Dy 0.0000 0.0000 0.5000 1
Ni1 Ni 0.2500 0.2500 0.7500 1
Os1 Os 0.2500 0.2500 0.2500 1
```

Most intense lines, 2θ from 10° to 80°, in order of falling intensity:
- 2.421 Å, intensity 1000, (2 2 0)
- 1.398 Å, intensity 354, (4 2 2)
- 1.712 Å, intensity 174, (4 0 0)
- 3.953 Å, intensity 116, (1 1 1)
- 1.210 Å, intensity 111, (4 4 0)
- 2.064 Å, intensity 64, (3 1 1)
- 1.571 Å, intensity 28, (3 3 1)
- 1.318 Å, intensity 22, (5 1 1)
- 3.423 Å, intensity 10, (2 0 0)



2.
This entry pairs a crystal structure of Eu2GeSe4 with its computed PXRD pattern. Radiation: Cu Kα X-rays. Structure: the PBE geometry in Alexandria.

Cell and atoms:
```
data_Eu2GeSe4
_chemical_formula_sum 'Eu4 Ge2 Se8'
_cell_length_a 6.9907
_cell_length_b 7.2089
_cell_length_c 8.3046
_cell_angle_alpha 90.00
_cell_angle_beta 107.66
_cell_angle_gamma 90.00
_symmetry_space_group_name_H-M 'P 1 21 1'
_symmetry_Int_Tables_number 4
loop_
_symmetry_equiv_pos_as_xyz
'x,y,z'
'-x,y+1/2,-z'
loop_
_atom_site_label
_atom_site_type_symbol
_atom_site_fract_x
_atom_site_fract_y
_atom_site_fract_z
_atom_site_occupancy
Eu1 Eu 0.2222 0.0000 0.0547 1
Eu2 Eu 0.2479 0.0180 0.5620 1
Ge1 Ge 0.2389 0.4680 0.8087 1
Se1 Se 0.0184 0.7326 0.2619 1
Se2 Se 0.0267 0.7391 0.7520 1
Se3 Se 0.4304 0.4012 0.0954 1
Se4 Se 0.4342 0.4208 0.6182 1
```

Most intense lines, 2θ from 10° to 80°, in order of falling intensity:
- 2.667 Å, intensity 1000, (1 2 -2)
- 2.804 Å, intensity 884, (2 1 -2)
- 2.788 Å, intensity 815, (1 1 2)
- 2.446 Å, intensity 741, (2 2 0)
- 3.023 Å, intensity 635, (1 0 2)
- 4.892 Å, intensity 578, (1 1 0)
- 2.076 Å, intensity 491, (1 0 -4)
- 3.043 Å, intensity 447, (2 0 -2)
- 3.604 Å, intensity 429, (0 2 0)
- 3.474 Å, intensity 419, (0 1 2)
- 3.170 Å, intensity 401, (1 2 0)
- 2.055 Å, intensity 345, (1 3 -2)



3.
This entry pairs a crystal structure of Rb2CuP4H8O16 with its computed PXRD pattern. Radiation: Cu Kα X-rays. Structure: the PBE geometry in Alexandria.

Cell and atoms:
```
data_Rb2CuP4H8O16
_chemical_formula_sum 'Rb2 Cu1 P4 H8 O16'
_cell_length_a 7.0162
_cell_length_b 7.5964
_cell_length_c 7.9590
_cell_angle_alpha 85.16
_cell_angle_beta 73.47
_cell_angle_gamma 85.06
_symmetry_space_group_name_H-M 'P -1'
_symmetry_Int_Tables_number 2
loop_
_symmetry_equiv_pos_as_xyz
'x,y,z'
'-x,-y,-z'
loop_
_atom_site_label
_atom_site_type_symbol
_atom_site_fract_x
_atom_site_fract_y
_atom_site_fract_z
_atom_site_occupancy
Rb1 Rb 0.1263 0.2273 0.2707 1
Cu1 Cu 0.5000 0.0000 0.5000 1
P1 P 0.2639 0.3134 0.7365 1
P2 P 0.3179 0.7624 0.2756 1
H1 H 0.0394 0.7676 0.1159 1
H2 H 0.2457 0.5476 0.4879 1
H3 H 0.3604 0.8086 0.8973 1
H4 H 0.3775 0.6848 0.7443 1
O1 O 0.0892 0.2745 0.9059 1
O2 O 0.2256 0.8302 0.1302 1
O3 O 0.2285 0.5826 0.3617 1
O4 O 0.2532 0.5066 0.6688 1
O5 O 0.2847 0.1816 0.5978 1
O6 O 0.3000 0.8909 0.4170 1
O7 O 0.4357 0.7869 0.7750 1
O8 O 0.4487 0.2821 0.8230 1
```

Most intense lines, 2θ from 10° to 80°, in order of falling intensity:
- 7.606 Å, intensity 1000, (0 0 1)
- 3.849 Å, intensity 855, (1 1 -1)
- 3.261 Å, intensity 844, (1 -1 2)
- 3.777 Å, intensity 828, (0 2 0)
- 5.192 Å, intensity 728, (1 1 0)
- 3.807 Å, intensity 708, (0 0 2)
- 4.450 Å, intensity 668, (1 0 -1)
- 2.600 Å, intensity 629, (0 2 -2)
- 2.995 Å, intensity 600, (2 -1 0)
- 2.769 Å, intensity 491, (0 2 2)
- 3.351 Å, intensity 415, (1 2 1)
- 2.862 Å, intensity 342, (2 1 2)